The following is a calculated X-ray powder pattern of Ac3PrS4. It was derived from DFT lattice parameters and positions (PBE), using Cu Kα.
Neutral-atom scattering factors, no anomalous dispersion.

Structural model:
```
Ac3PrS4
1.0
7.396 0.000 0.000
0.000 8.461 0.000
-2.450 0.000 6.975
Ac Pr S
6 2 8
Direct
0.000 0.124 0.250
0.000 0.373 0.750
0.000 0.627 0.250
0.000 0.876 0.750
0.500 0.373 0.250
0.500 0.627 0.750
0.500 0.123 0.750
0.500 0.877 0.250
0.254 0.371 0.504
0.254 0.629 0.004
0.258 0.121 0.000
0.258 0.879 0.500
0.742 0.121 0.500
0.742 0.879 0.000
0.746 0.371 0.996
0.746 0.629 0.496
```

Peak list (12 most intense, 2θ from 15° to 90°, sorted by position)
- hkl 2 0 0, 25.54°, I 48
- hkl 1 2 -1, 25.72°, I 47
- hkl 1 2 1, 29.68°, I 100
- hkl 2 0 2, 42.28°, I 13
- hkl 3 2 -1, 42.44°, I 50
- hkl 0 4 0, 42.75°, I 12
- hkl 3 2 1, 50.14°, I 25
- hkl 2 4 0, 50.46°, I 17
- hkl 0 0 4, 52.46°, I 14
- hkl 2 4 -2, 52.86°, I 13
- hkl 3 2 -5, 69.75°, I 12
- hkl 1 2 5, 77.43°, I 13